# Sb
Computed X-ray powder pattern, λ = 1.5418 Å (Cu Kα). Input: a structure optimized by DFT (GGA-PBE).

Main lines, by intensity (10 to 90 degrees two-theta):
| d (Å) | I/Imax | (hkl) |
| --- | --- | --- |
| 7.317 | 100 | 1 0 0 |
| 3.272 | 58 | 2 1 0 |
| 3.039 | 44 | 0 0 2 |
| 2.227 | 39 | 2 1 2 |
| 2.881 | 38 | 2 1 1 |
| 2.162 | 37 | 3 1 1 |
| 2.587 | 31 | 2 2 0 |
| 1.970 | 28 | 2 2 2 |
| 2.806 | 20 | 1 0 2 |
| 1.423 | 16 | 4 3 1 |

Structure:
```
data_Sb
_chemical_formula_sum 'Sb8'
_cell_length_a 7.3165
_cell_length_b 7.3165
_cell_length_c 6.0775
_cell_angle_alpha 90.00
_cell_angle_beta 90.00
_cell_angle_gamma 90.00
_space_group_name_H-M_alt 'P 4/m c c'
_space_group_IT_number 124
_space_group_name_Hall '-P 4 2c'
loop_
_atom_site_label
_atom_site_type_symbol
_atom_site_fract_x
_atom_site_fract_y
_atom_site_fract_z
Sb1 Sb 0.0503 0.2825 0.0000
```